Rb4TlV3F12: theoretical powder XRD pattern (Cu Kα X-rays), based on a PBE+U-relaxed structure.
Neutral-atom scattering factors, no anomalous dispersion.

Structural model:
```
data_Rb4TlV3F12
_symmetry_space_group_name_H-M 'P 1'
_symmetry_Int_Tables_number 1
_cell_length_a 7.7084
_cell_length_b 7.7084
_cell_length_c 7.7084
_cell_angle_alpha 109.47
_cell_angle_beta 109.47
_cell_angle_gamma 109.47
loop_
_symmetry_equiv_pos_as_xyz
'x,y,z'
loop_
_atom_site_label
_atom_site_type_symbol
_atom_site_fract_x
_atom_site_fract_y
_atom_site_fract_z
Rb1 Rb 0.0000 0.0000 0.5000
Rb2 Rb 0.0000 0.5000 0.0000
Rb3 Rb 0.5000 0.0000 0.0000
Rb4 Rb 0.5000 0.5000 0.5000
Tl1 Tl 0.0000 0.0000 0.0000
V1 V 0.0000 0.5000 0.5000
V2 V 0.5000 0.0000 0.5000
V3 V 0.5000 0.5000 0.0000
F1 F 0.0000 0.2808 0.2808
F2 F 0.0000 0.7192 0.7192
F3 F 0.2500 0.5000 0.7500
F4 F 0.2500 0.7500 0.5000
F5 F 0.2808 0.0000 0.2808
F6 F 0.2808 0.2808 0.0000
F7 F 0.5000 0.2500 0.7500
F8 F 0.5000 0.7500 0.2500
F9 F 0.7192 0.0000 0.7192
F10 F 0.7192 0.7192 0.0000
F11 F 0.7500 0.2500 0.5000
F12 F 0.7500 0.5000 0.2500
```

Principal peaks in the range 5 to 70 degrees two-theta, low angle first:
d 6.294, I 214
d 3.634, I 131
d 3.147, I 1000
d 2.815, I 101
d 2.379, I 132
d 2.225, I 408
d 1.817, I 395
d 1.746, I 59
d 1.573, I 247
d 1.407, I 187